No. 1
Simulated XRD peak list
Compound: EuMg5
Radiation: CuKα
Structure: a structure optimized by DFT (GGA-PBE)
Lines closer than 0.1° are merged.

Structure:
Unit cell a=5.9832 b=5.9832 c=5.1355 alpha=90.00 beta=90.00 gamma=120.00
Space group P-62m (No. 189)
Symmetry-distinct sites (fractional):
Eu: 0.0000 0.0000 0.0000 (multiplicity 1)
Mg: 0.0000 0.5501 0.5000 (multiplicity 3)
Mg: 0.3333 0.6667 0.0000 (multiplicity 2)

Principal peaks in the range 5° ≤ 2θ ≤ 70°, most intense first:
hkl 1 1 1, 34.68°, I 100
hkl 1 0 1, 24.40°, I 74
hkl 1 0 0, 17.11°, I 38
hkl 1 1 0, 29.87°, I 32
hkl 2 1 1, 49.83°, I 21
hkl 0 0 1, 17.27°, I 19
hkl 1 1 2, 46.61°, I 19
hkl 2 0 2, 50.01°, I 18
hkl 0 0 2, 34.94°, I 18
hkl 3 0 1, 56.19°, I 14
hkl 1 1 3, 62.51°, I 13
hkl 3 1 1, 67.70°, I 11

***

No. 2
Simulated XRD peak list
Compound: EuMg3
Radiation: CuKα
Structure: a structure optimized by DFT (GGA-PBE)
Lines closer than 0.1° are merged.

Structure:
Unit cell a=7.514 b=7.514 c=7.514 alpha=90.00 beta=90.00 gamma=90.00
Space group Fm-3m (No. 225)
Symmetry-distinct sites (fractional):
Eu: 0.000 0.000 0.000 (multiplicity 4)
Mg: 0.000 0.000 0.500 (multiplicity 4)
Mg: 0.250 0.250 0.250 (multiplicity 8)

Principal peaks in the range 5° ≤ 2θ ≤ 70°, most intense first:
hkl 2 2 0, 33.74°, I 100
hkl 1 1 1, 20.47°, I 68
hkl 3 1 1, 39.79°, I 39
hkl 2 0 0, 23.68°, I 37
hkl 4 2 2, 60.35°, I 36
hkl 4 0 0, 48.46°, I 18
hkl 3 3 1, 53.13°, I 17
hkl 4 2 0, 54.63°, I 15
hkl 5 1 1, 64.44°, I 13
hkl 2 2 2, 41.64°, I 11